Record 1
Simulated X-ray powder pattern of Te3Pd2 for Cu Kα, 1.54184 Å, from a crystal structure in Alexandria, relaxed with PBE.

Main lines, in order of rising 2θ (5 to 70 degrees two-theta):
| 2θ (°) | I/Imax | index |
| --- | --- | --- |
| 17.7 | 20.1 | 0 1 2 |
| 29.5 | 100.0 | 1 1 3 |
| 40.3 | 57.7 | 1 1 6 |
| 44.2 | 65.3 | 3 0 0 |
| 54.0 | 16.3 | 2 2 3 |
| 54.4 | 17.8 | 1 1 9 |

Crystal structure
Cell: 7.1071 7.1071 17.2600 Å, 90.00 90.00 120.00°
Space group R-3c (No. 167, hexagonal axes)
Inequivalent atoms, fractional coordinates:
Te1 0.0000 0.3092 0.2500 [18 per cell]
Pd1 0.0000 0.0000 0.1519 [12 per cell]

Record 2
Simulated X-ray powder pattern of TePd8 for Cu Kα, 1.54184 Å, from a crystal structure in Alexandria, relaxed with PBE.

Main lines, in order of rising 2θ (5 to 70 degrees two-theta):
| 2θ (°) | I/Imax | index |
| --- | --- | --- |
| 39.0 | 100.0 | 3 0 1 |
| 44.6 | 17.0 | 0 0 2 |
| 45.7 | 31.6 | 3 3 0 |
| 65.8 | 20.8 | 3 3 2 |
| 66.6 | 10.0 | 6 0 0 |

Crystal structure
Cell: 8.424 8.424 4.063 Å, 90.00 90.00 90.00°
Space group I4/mmm (No. 139)
Inequivalent atoms, fractional coordinates:
Te1 0.000 0.000 0.000 [2 per cell]
Pd1 0.000 0.335 0.000 [8 per cell]
Pd2 0.168 0.168 0.500 [8 per cell]

Record 3
Simulated X-ray powder pattern of Te2Pd for Cu Kα, 1.54184 Å, from a crystal structure in Alexandria, relaxed with PBE.

Main lines, in order of rising 2θ (5 to 70 degrees two-theta):
| 2θ (°) | I/Imax | index |
| --- | --- | --- |
| 16.0 | 30.3 | 0 0 2 |
| 26.3 | 30.0 | 0 2 1 |
| 30.1 | 100.0 | 1 1 2 |
| 35.2 | 48.1 | 1 1 3 |
| 41.3 | 27.0 | 0 2 4 |
| 45.0 | 54.4 | 1 3 1 |

Crystal structure
Cell: 4.055 7.119 11.072 Å, 90.00 90.00 90.00°
Space group Cmce (No. 64)
Inequivalent atoms, fractional coordinates:
Te1 0.000 0.173 0.124 [8 per cell]
Pd1 0.000 0.000 0.500 [4 per cell]

Record 4
Simulated X-ray powder pattern of Te2Pd13 for Cu Kα, 1.54184 Å, from a crystal structure in Alexandria, relaxed with PBE.

Main lines, in order of rising 2θ (5 to 70 degrees two-theta):
| 2θ (°) | I/Imax | index |
| --- | --- | --- |
| 38.5 | 97.7 | -2 1 1 |
| 38.6 | 97.2 | 1 1 3 |
| 38.9 | 100.0 | 2 2 1 |
| 39.2 | 97.7 | 1 -2 1 |
| 44.5 | 64.1 | 1 1 -2 |
| 44.9 | 63.2 | 0 3 2 |

Crystal structure
Cell: 6.294 6.355 7.000 Å, 68.10 70.02 84.08°
Space group P-1 (No. 2)
Inequivalent atoms, fractional coordinates:
Te1 0.160 0.462 0.264 [2 per cell]
Pd1 0.000 0.000 0.500 [1 per cell]
Pd2 0.067 0.740 0.898 [2 per cell]
Pd3 0.197 0.206 0.693 [2 per cell]
Pd4 0.267 0.935 0.098 [2 per cell]
Pd5 0.331 0.667 0.498 [2 per cell]
Pd6 0.400 0.397 0.891 [2 per cell]
Pd7 0.469 0.128 0.300 [2 per cell]

Record 5
Simulated X-ray powder pattern of Th4TePd for Cu Kα, 1.54184 Å, from a crystal structure in Alexandria, relaxed with PBE.

Main lines, in order of rising 2θ (5 to 70 degrees two-theta):
| 2θ (°) | I/Imax | index |
| --- | --- | --- |
| 30.4 | 100.0 | 2 1 1 |
| 32.6 | 22.7 | 1 1 2 |
| 37.0 | 22.1 | 2 0 2 |
| 38.6 | 28.9 | 3 1 0 |
| 50.6 | 25.2 | 2 1 3 |
| 60.5 | 18.3 | 3 3 2 |

Crystal structure
Cell: 7.369 7.369 6.472 Å, 90.00 90.00 90.00°
Space group P4/mcc (No. 124)
Inequivalent atoms, fractional coordinates:
Th1 0.149 0.334 0.000 [8 per cell]
Te1 0.500 0.500 0.250 [2 per cell]
Pd1 0.000 0.000 0.250 [2 per cell]

Record 6
Simulated X-ray powder pattern of ThTe3Pd2 for Cu Kα, 1.54184 Å, from a crystal structure in Alexandria, relaxed with PBE.

Main lines, in order of rising 2θ (5 to 70 degrees two-theta):
| 2θ (°) | I/Imax | index |
| --- | --- | --- |
| 14.3 | 100.0 | 1 0 -1 |
| 25.0 | 75.8 | 1 1 -1 |
| 33.1 | 60.5 | 2 1 -1 |
| 33.6 | 61.5 | 1 1 -3 |
| 35.4 | 63.5 | 1 1 3 |
| 41.6 | 64.7 | 0 2 0 |

Crystal structure
Cell: 7.076 4.344 11.014 Å, 90.00 95.67 90.00°
Space group P2_1/m (No. 11)
Inequivalent atoms, fractional coordinates:
Th1 0.222 0.250 0.320 [2 per cell]
Te1 0.151 0.750 0.867 [2 per cell]
Te2 0.208 0.750 0.546 [2 per cell]
Te3 0.431 0.750 0.179 [2 per cell]
Pd1 0.051 0.750 0.095 [2 per cell]
Pd2 0.445 0.250 0.574 [2 per cell]

Record 7
Simulated X-ray powder pattern of Ti2TePd2 for Cu Kα, 1.54184 Å, from a crystal structure in Alexandria, relaxed with PBE.

Main lines, in order of rising 2θ (5 to 70 degrees two-theta):
| 2θ (°) | I/Imax | index |
| --- | --- | --- |
| 25.3 | 41.5 | 0 0 1 |
| 35.8 | 25.0 | 2 0 1 |
| 38.0 | 100.0 | 2 1 1 |
| 39.9 | 68.5 | 3 1 0 |
| 47.8 | 35.4 | 3 1 1 |
| 67.4 | 27.8 | 3 1 2 |

Crystal structure
Cell: 7.152 7.152 3.524 Å, 90.00 90.00 90.00°
Space group P4/mbm (No. 127)
Inequivalent atoms, fractional coordinates:
Ti1 0.161 0.339 0.000 [4 per cell]
Te1 0.000 0.000 0.500 [2 per cell]
Pd1 0.131 0.631 0.500 [4 per cell]

Record 8
Simulated X-ray powder pattern of TlTePd for Cu Kα, 1.54184 Å, from a crystal structure in Alexandria, relaxed with PBE.

Main lines, in order of rising 2θ (5 to 70 degrees two-theta):
| 2θ (°) | I/Imax | index |
| --- | --- | --- |
| 27.2 | 100.0 | 1 1 1 |
| 33.4 | 52.5 | 1 1 3 |
| 34.0 | 89.3 | 1 0 4 |
| 35.9 | 69.1 | 0 2 2 |
| 38.0 | 48.5 | 1 1 4 |
| 41.7 | 86.5 | 2 0 0 |

Crystal structure
Cell: 4.334 5.394 13.287 Å, 90.00 90.00 90.00°
Space group P2_12_12_1 (No. 19)
Inequivalent atoms, fractional coordinates:
Tl1 0.250 0.204 0.222 [4 per cell]
Te1 0.249 0.009 0.464 [4 per cell]
Pd1 0.249 0.517 0.406 [4 per cell]

Record 9
Simulated X-ray powder pattern of Tl3TePd4 for Cu Kα, 1.54184 Å, from a crystal structure in Alexandria, relaxed with PBE.

Main lines, in order of rising 2θ (5 to 70 degrees two-theta):
| 2θ (°) | I/Imax | index |
| --- | --- | --- |
| 27.6 | 70.9 | 1 2 1 |
| 31.9 | 33.2 | 2 0 0 |
| 32.6 | 100.0 | 0 2 2 |
| 35.9 | 33.3 | 2 1 1 |
| 36.6 | 47.1 | 0 4 0 |
| 44.7 | 35.6 | 2 3 1 |

Crystal structure
Cell: 5.615 9.823 6.631 Å, 90.00 90.00 90.00°
Space group Imm2 (No. 44)
Inequivalent atoms, fractional coordinates:
Tl1 0.000 0.000 0.000 [2 per cell]
Tl2 0.000 0.278 0.692 [4 per cell]
Te1 0.000 0.500 0.242 [2 per cell]
Pd1 0.000 0.231 0.263 [4 per cell]
Pd2 0.245 0.000 0.405 [4 per cell]

Record 10
Simulated X-ray powder pattern of Tl4Te3Pd for Cu Kα, 1.54184 Å, from a crystal structure in Alexandria, relaxed with PBE.

Main lines, in order of rising 2θ (5 to 70 degrees two-theta):
| 2θ (°) | I/Imax | index |
| --- | --- | --- |
| 28.3 | 22.7 | 0 0 2 |
| 29.2 | 100.0 | 3 2 1 |
| 31.7 | 58.3 | 4 2 0 |
| 32.5 | 35.6 | 4 1 1 |
| 34.8 | 23.7 | 2 2 2 |
| 50.7 | 22.2 | 3 2 3 |

Crystal structure
Cell: 12.637 12.637 6.303 Å, 90.00 90.00 90.00°
Space group I4/mcm (No. 140)
Inequivalent atoms, fractional coordinates:
Tl1 0.091 0.223 0.000 [16 per cell]
Te1 0.000 0.000 0.250 [4 per cell]
Te2 0.125 0.375 0.500 [8 per cell]
Pd1 0.000 0.500 0.250 [4 per cell]

Record 11
Simulated X-ray powder pattern of Tl2TePd for Cu Kα, 1.54184 Å, from a crystal structure in Alexandria, relaxed with PBE.

Main lines, in order of rising 2θ (5 to 70 degrees two-theta):
| 2θ (°) | I/Imax | index |
| --- | --- | --- |
| 24.2 | 62.5 | 0 1 2 |
| 28.8 | 55.4 | 1 0 4 |
| 31.8 | 100.0 | 0 1 5 |
| 38.9 | 28.8 | 1 0 7 |
| 39.5 | 91.3 | 1 1 0 |
| 57.9 | 36.1 | 1 1 9 |

Crystal structure
Cell: 4.5667 4.5667 20.0134 Å, 90.00 90.00 120.00°
Space group R3m (No. 160, hexagonal axes)
Inequivalent atoms, fractional coordinates:
Tl1 0.0000 0.0000 0.0000 [3 per cell]
Tl2 0.0000 0.0000 0.4449 [3 per cell]
Te1 0.0000 0.0000 0.2184 [3 per cell]
Pd1 0.0000 0.0000 0.8531 [3 per cell]

Record 12
Simulated X-ray powder pattern of TlTe2Pd3 for Cu Kα, 1.54184 Å, from a crystal structure in Alexandria, relaxed with PBE.

Main lines, in order of rising 2θ (5 to 70 degrees two-theta):
| 2θ (°) | I/Imax | index |
| --- | --- | --- |
| 27.3 | 48.3 | 2 0 2 |
| 28.8 | 50.1 | 1 1 -2 |
| 32.0 | 100.0 | 3 1 1 |
| 36.7 | 67.7 | 5 1 -2 |
| 40.9 | 59.8 | 5 1 -3 |
| 43.3 | 66.6 | 0 2 0 |

Crystal structure
Cell: 16.046 4.179 9.279 Å, 90.00 111.33 90.00°
Space group C2/m (No. 12)
Inequivalent atoms, fractional coordinates:
Tl1 0.146 0.000 0.009 [4 per cell]
Te1 0.030 0.500 0.199 [4 per cell]
Te2 0.189 0.000 0.667 [4 per cell]
Pd1 0.049 0.000 0.388 [4 per cell]
Pd2 0.080 0.500 0.640 [4 per cell]
Pd3 0.183 0.500 0.451 [4 per cell]

Record 13
Simulated X-ray powder pattern of U3TlTe6Pd2 for Cu Kα, 1.54184 Å, from a crystal structure in Alexandria, relaxed with PBE.

Main lines, in order of rising 2θ (5 to 70 degrees two-theta):
| 2θ (°) | I/Imax | index |
| --- | --- | --- |
| 10.4 | 100.0 | 2 0 -1 |
| 27.0 | 88.4 | 1 1 -2 |
| 27.8 | 43.5 | 6 0 0 |
| 35.9 | 27.1 | 2 0 -4 |
| 37.2 | 55.1 | 7 1 -2 |
| 41.1 | 73.3 | 0 2 0 |

Crystal structure
Cell: 20.793 4.390 10.105 Å, 90.00 112.21 90.00°
Space group C2/m (No. 12)
Inequivalent atoms, fractional coordinates:
U1 0.000 0.000 0.000 [2 per cell]
U2 0.168 0.500 0.333 [4 per cell]
Tl1 0.000 0.000 0.500 [2 per cell]
Te1 0.010 0.500 0.245 [4 per cell]
Te2 0.173 0.000 0.550 [4 per cell]
Te3 0.175 0.000 0.120 [4 per cell]
Pd1 0.097 0.500 0.010 [4 per cell]